Theoretical XRD peak list
Compound: KSmH2S2O9
Radiation: Cu Kα
Structure: DFT lattice parameters and positions (GGA-PBE)
No peak broadening, texture or thermal motion is included.

Cell and atoms:
```
data_KSmH2S2O9
_chemical_formula_sum 'K4 Sm4 H8 S8 O36'
_cell_length_a 10.130
_cell_length_b 8.553
_cell_length_c 10.460
_cell_angle_alpha 90.00
_cell_angle_beta 118.60
_cell_angle_gamma 90.00
_symmetry_space_group_name_H-M 'P 1 21/c 1'
_symmetry_Int_Tables_number 14
loop_
_symmetry_equiv_pos_as_xyz
'x,y,z'
'-x,-y,-z'
'-x,y+1/2,-z+1/2'
'x,-y+1/2,z+1/2'
loop_
_atom_site_label
_atom_site_type_symbol
_atom_site_fract_x
_atom_site_fract_y
_atom_site_fract_z
K1 K 0.214 0.185 0.192
Sm1 Sm 0.261 0.653 0.032
H1 H 0.286 0.514 0.447
H2 H 0.408 0.519 0.611
S1 S 0.050 0.632 0.178
S2 S 0.485 0.687 0.890
O1 O 0.054 0.746 0.070
O2 O 0.071 0.713 0.311
O3 O 0.099 0.054 0.388
O4 O 0.175 0.519 0.211
O5 O 0.305 0.554 0.542
O6 O 0.339 0.603 0.847
O7 O 0.404 0.079 0.617
O8 O 0.459 0.685 0.283
O9 O 0.462 0.248 0.962
```

Largest 10 diffraction maxima, sorted by position, 2θ = 10–90°:
14.15 deg, intensity 96, (0 1 1); 14.37 deg, intensity 100, (1 1 0); 20.77 deg, intensity 18, (0 2 0); 26.88 deg, intensity 72, (1 2 1); 27.81 deg, intensity 50, (1 1 2); 28.87 deg, intensity 71, (3 1 -2); 32.91 deg, intensity 28, (0 3 1); 34.15 deg, intensity 24, (2 0 2); 34.33 deg, intensity 19, (2 0 -4); 49.11 deg, intensity 22, (4 3 -1)

***

Theoretical XRD peak list
Compound: ScC
Radiation: Cu Kα
Structure: DFT lattice parameters and positions (GGA-PBE)
No peak broadening, texture or thermal motion is included.

Cell and atoms:
```
data_ScC
_chemical_formula_sum 'Sc4 C4'
_cell_length_a 4.686
_cell_length_b 4.686
_cell_length_c 4.686
_cell_angle_alpha 90.00
_cell_angle_beta 90.00
_cell_angle_gamma 90.00
_symmetry_space_group_name_H-M 'F m -3 m'
_symmetry_Int_Tables_number 225
_symmetry_space_group_name_Hall '-F 4 2 3'
loop_
_atom_site_label
_atom_site_type_symbol
_atom_site_fract_x
_atom_site_fract_y
_atom_site_fract_z
Sc1 Sc 0.000 0.000 0.000
C1 C 0.000 0.000 0.500
```

Largest 6 diffraction maxima, sorted by position, 2θ = 10–90°:
33.11 deg, intensity 78, (1 1 1); 38.42 deg, intensity 100, (2 0 0); 55.47 deg, intensity 59, (2 2 0); 66.14 deg, intensity 30, (3 1 1); 69.49 deg, intensity 18, (2 2 2); 82.31 deg, intensity 8, (4 0 0)

***

Theoretical XRD peak list
Compound: SmGa4Ni
Radiation: Cu Kα
Structure: DFT lattice parameters and positions (GGA-PBE)
No peak broadening, texture or thermal motion is included.

Cell and atoms:
```
data_SmGa4Ni
_chemical_formula_sum 'Sm4 Ga16 Ni4'
_cell_length_a 4.183
_cell_length_b 15.430
_cell_length_c 6.537
_cell_angle_alpha 90.00
_cell_angle_beta 90.00
_cell_angle_gamma 90.00
_symmetry_space_group_name_H-M 'C m c m'
_symmetry_Int_Tables_number 63
_symmetry_space_group_name_Hall '-C 2c 2'
loop_
_atom_site_label
_atom_site_type_symbol
_atom_site_fract_x
_atom_site_fract_y
_atom_site_fract_z
Sm1 Sm 0.000 0.117 0.250
Ga1 Ga 0.000 0.073 0.750
Ga2 Ga 0.000 0.314 0.052
Ga3 Ga 0.000 0.500 0.000
Ni1 Ni 0.000 0.224 0.750
```

Largest 10 diffraction maxima, sorted by position, 2θ = 10–90°:
35.33 deg, intensity 100, (1 1 2); 36.02 deg, intensity 17, (0 4 2); 36.17 deg, intensity 56, (1 5 0); 37.58 deg, intensity 30, (0 6 1); 38.79 deg, intensity 32, (1 5 1); 39.12 deg, intensity 16, (1 3 2); 43.26 deg, intensity 39, (2 0 0); 44.85 deg, intensity 26, (0 6 2); 58.62 deg, intensity 16, (2 6 1); 64.08 deg, intensity 26, (2 6 2)

***

Theoretical XRD peak list
Compound: TmCo2Si2
Radiation: Cu Kα
Structure: DFT lattice parameters and positions (GGA-PBE)
No peak broadening, texture or thermal motion is included.

Cell and atoms:
```
data_TmCo2Si2
_chemical_formula_sum 'Tm2 Co4 Si4'
_cell_length_a 3.854
_cell_length_b 3.854
_cell_length_c 9.688
_cell_angle_alpha 90.00
_cell_angle_beta 90.00
_cell_angle_gamma 90.00
_symmetry_space_group_name_H-M 'I 4/m m m'
_symmetry_Int_Tables_number 139
_symmetry_space_group_name_Hall '-I 4 2'
loop_
_atom_site_label
_atom_site_type_symbol
_atom_site_fract_x
_atom_site_fract_y
_atom_site_fract_z
Tm1 Tm 0.000 0.000 0.000
Co1 Co 0.000 0.500 0.250
Si1 Si 0.000 0.000 0.373
```

Largest 10 diffraction maxima, sorted by position, 2θ = 10–90°:
24.86 deg, intensity 56, (1 0 1); 36.29 deg, intensity 58, (1 0 3); 37.12 deg, intensity 17, (0 0 4); 37.88 deg, intensity 100, (1 1 2); 47.16 deg, intensity 38, (2 0 0); 52.89 deg, intensity 19, (1 0 5); 60.92 deg, intensity 26, (2 1 3); 61.49 deg, intensity 15, (2 0 4); 67.41 deg, intensity 18, (1 1 6); 81.42 deg, intensity 20, (3 1 2)